Theoretical powder X-ray diffraction pattern of NiSO10 for Cu Kα X-rays, from a crystal structure in the Materials Project, relaxed with PBE+U.
Neutral-atom scattering factors, no anomalous dispersion.

Most intense lines, 2θ = 10–90°, by angle:
2θ (°), I/Imax
14.7, 12
22.4, 100
23.1, 10
27.3, 12
36.0, 14
42.6, 8

Structural model:
Cell lengths 6.544, 6.544, 15.393 Å; angles 90.00, 90.00, 90.00 degrees
Space group P4_32_12 (No. 96)
Inequivalent atoms, fractional coordinates:
Ni (0.216, 0.216, 0.000) x4
S (0.214, 0.786, 0.250) x4
O (0.011, 0.807, 0.571) x8
O (0.055, 0.716, 0.815) x8
O (0.064, 0.326, 0.495) x8
O (0.081, 0.346, 0.909) x8
O (0.117, 0.874, 0.170) x8